# 1
Starting from a GGA-PBE-relaxed structure, the powder diffraction line list of InAg3I6O18 was computed for copper Kα.
No peak broadening, texture or thermal motion is included.

Largest 10 diffraction maxima, in order of rising 2θ, 2θ = 15–90°:
d 3.217, intensity 100
d 3.180, intensity 57
d 3.137, intensity 65
d 2.832, intensity 29
d 2.742, intensity 27
d 2.710, intensity 22
d 1.979, intensity 15
d 1.960, intensity 15
d 1.931, intensity 20
d 1.660, intensity 19

Cell and atoms:
abc: 7.9510 10.2903 10.9675
angles: 75.33 89.97 76.43
Positions (direct):
In  0.0000  0.0000  0.0000
In  0.5000  0.0000  0.5000
Ag  0.0000  0.0000  0.5000
Ag  0.0753  0.6105  0.5886
Ag  0.4036  0.3988  0.8923
Ag  0.5000  0.0000  0.0000
Ag  0.5964  0.6012  0.1077
Ag  0.9247  0.3895  0.4114
I  0.0446  0.6145  0.1001
I  0.1732  0.1999  0.6708
I  0.2462  0.8047  0.7816
I  0.2562  0.1973  0.1866
I  0.3238  0.8110  0.2612
I  0.4638  0.3843  0.4156
I  0.5362  0.6157  0.5844
I  0.6762  0.1890  0.7388
I  0.7438  0.8027  0.8134
I  0.7538  0.1953  0.2184
I  0.8268  0.8001  0.3292
I  0.9554  0.3855  0.8999
O  0.0452  0.8161  0.6901
O  0.0490  0.7877  0.3890
O  0.0499  0.1971  0.9283
O  0.0616  0.4198  0.7492
O  0.1420  0.3957  0.0002
O  0.1584  0.9571  0.8464
O  0.2077  0.3404  0.5379
O  0.2318  0.6647  0.9194
O  0.2352  0.9597  0.1156
O  0.2683  0.0510  0.5999
O  0.2707  0.3392  0.2556
O  0.3017  0.6693  0.1916
O  0.3392  0.0464  0.3270
O  0.3649  0.5844  0.6948
O  0.4162  0.6140  0.4350
O  0.4360  0.8057  0.5417
O  0.4520  0.1947  0.7855
O  0.4577  0.1863  0.1013
O  0.5423  0.8137  0.8987
O  0.5480  0.8053  0.2145
O  0.5640  0.1943  0.4583
O  0.5838  0.3860  0.5650
O  0.6351  0.4156  0.3052
O  0.6608  0.9536  0.6730
O  0.6983  0.3307  0.8084
O  0.7293  0.6608  0.7444
O  0.7317  0.9490  0.4001
O  0.7648  0.0403  0.8844
O  0.7682  0.3353  0.0806
O  0.7923  0.6596  0.4621
O  0.8416  0.0429  0.1536
O  0.8580  0.6043  0.9998
O  0.9384  0.5802  0.2508
O  0.9501  0.8029  0.0717
O  0.9510  0.2123  0.6110
O  0.9548  0.1839  0.3099

# 2
Starting from a GGA-PBE-relaxed structure, the powder diffraction line list of Na4ZnGa2Ni was computed for copper Kα.
No peak broadening, texture or thermal motion is included.

Largest 10 diffraction maxima, in order of rising 2θ, 2θ = 15–90°:
d 3.880, intensity 44
d 2.380, intensity 100
d 2.367, intensity 51
d 2.038, intensity 7
d 2.020, intensity 15
d 1.693, intensity 8
d 1.673, intensity 17
d 1.377, intensity 14
d 1.369, intensity 31
d 1.190, intensity 8

Cell and atoms:
abc: 4.7332 4.7332 6.7722
angles: 90.00 90.00 90.00
Positions (direct):
Na  0.0000  0.0000  0.0000
Na  0.0000  0.5000  0.7433
Na  0.5000  0.0000  0.2567
Na  0.5000  0.5000  0.5000
Zn  0.5000  0.5000  0.0000
Ga  0.0000  0.5000  0.2732
Ga  0.5000  0.0000  0.7268
Ni  0.0000  0.0000  0.5000

# 3
Starting from a GGA-PBE-relaxed structure, the powder diffraction line list of ErTm2Zn3NiAu2 was computed for copper Kα.
No peak broadening, texture or thermal motion is included.

Largest 10 diffraction maxima, in order of rising 2θ, 2θ = 15–90°:
d 3.604, intensity 21
d 2.642, intensity 100
d 2.433, intensity 55
d 2.360, intensity 29
d 2.081, intensity 32
d 2.017, intensity 20
d 1.942, intensity 19
d 1.500, intensity 14
d 1.420, intensity 18
d 1.344, intensity 18

Cell and atoms:
abc: 3.8847 7.2101 7.2101
angles: 120.04 90.00 90.00
Positions (direct):
Er  0.0000  0.0000  0.0000
Tm  0.0000  0.2096  0.6041
Tm  0.0000  0.6041  0.2096
Zn  0.5000  0.3726  0.3726
Zn  0.5000  0.6039  0.8354
Zn  0.5000  0.8354  0.6039
Ni  0.0000  0.6034  0.6034
Au  0.5000  0.2720  0.9371
Au  0.5000  0.9371  0.2720

# 4
Starting from a GGA-PBE-relaxed structure, the powder diffraction line list of Nd6ZnFe13 was computed for copper Kα.
No peak broadening, texture or thermal motion is included.

Largest 10 diffraction maxima, in order of rising 2θ, 2θ = 15–90°:
d 3.244, intensity 83
d 2.832, intensity 29
d 2.823, intensity 88
d 2.558, intensity 32
d 2.534, intensity 100
d 2.331, intensity 67
d 2.317, intensity 37
d 2.077, intensity 44
d 1.936, intensity 43
d 1.577, intensity 34

Cell and atoms:
abc: 12.7900 12.7900 12.7900
angles: 143.50 143.50 52.57
Positions (direct):
Nd  0.0234  0.5234  0.1720
Nd  0.1076  0.1076  0.0000
Nd  0.1486  0.9766  0.5000
Nd  0.3514  0.8514  0.8280
Nd  0.3924  0.3924  0.0000
Nd  0.4766  0.6486  0.5000
Nd  0.5234  0.3514  0.5000
Nd  0.6076  0.6076  0.0000
Nd  0.6486  0.1486  0.1720
Nd  0.8514  0.0234  0.5000
Nd  0.8924  0.8924  0.0000
Nd  0.9766  0.4766  0.8280
Zn  0.2500  0.2500  0.0000
Zn  0.7500  0.7500  0.0000
Fe  0.0000  0.5000  0.5000
Fe  0.0179  0.2908  0.5000
Fe  0.0664  0.2096  0.2760
Fe  0.1193  0.6193  0.8579
Fe  0.2092  0.4821  0.5000
Fe  0.2096  0.9336  0.1433
Fe  0.2386  0.7386  0.8579
Fe  0.2614  0.1193  0.5000
Fe  0.2904  0.4336  0.7240
Fe  0.2908  0.7908  0.2729
Fe  0.3807  0.2386  0.5000
Fe  0.4336  0.7096  0.1433
Fe  0.4821  0.9821  0.2729
Fe  0.5000  0.0000  0.5000
Fe  0.5179  0.0179  0.7271
Fe  0.5664  0.2904  0.8567
Fe  0.6193  0.7614  0.5000
Fe  0.7092  0.2092  0.7271
Fe  0.7096  0.5664  0.2760
Fe  0.7386  0.8807  0.5000
Fe  0.7614  0.2614  0.1421
Fe  0.7904  0.0664  0.8567
Fe  0.7908  0.5179  0.5000
Fe  0.8807  0.3807  0.1421
Fe  0.9336  0.7904  0.7240
Fe  0.9821  0.7092  0.5000

# 5
Starting from a GGA-PBE-relaxed structure, the powder diffraction line list of Sm3As4 was computed for copper Kα.
No peak broadening, texture or thermal motion is included.

Largest 10 diffraction maxima, in order of rising 2θ, 2θ = 15–90°:
d 3.584, intensity 34
d 2.776, intensity 100
d 2.347, intensity 73
d 1.963, intensity 27
d 1.872, intensity 17
d 1.792, intensity 12
d 1.722, intensity 16
d 1.424, intensity 32
d 1.355, intensity 16
d 1.195, intensity 19

Cell and atoms:
abc: 7.6037 7.6037 7.6037
angles: 109.47 109.47 109.47
Positions (direct):
Sm  0.1250  0.7500  0.8750
Sm  0.2500  0.6250  0.3750
Sm  0.3750  0.2500  0.6250
Sm  0.6250  0.3750  0.2500
Sm  0.7500  0.8750  0.1250
Sm  0.8750  0.1250  0.7500
As  0.0000  0.3394  0.5000
As  0.0000  0.8394  0.5000
As  0.1606  0.1606  0.1606
As  0.3394  0.5000  0.0000
As  0.5000  0.0000  0.3394
As  0.5000  0.0000  0.8394
As  0.6606  0.6606  0.6606
As  0.8394  0.5000  0.0000

# 6
Starting from a GGA-PBE-relaxed structure, the powder diffraction line list of HoNb2Si2Sb was computed for copper Kα.
No peak broadening, texture or thermal motion is included.

Largest 10 diffraction maxima, in order of rising 2θ, 2θ = 15–90°:
d 3.561, intensity 72
d 2.790, intensity 63
d 2.662, intensity 100
d 2.591, intensity 44
d 2.289, intensity 88
d 2.003, intensity 56
d 1.747, intensity 38
d 1.627, intensity 25
d 1.585, intensity 38
d 1.205, intensity 22

Cell and atoms:
abc: 4.0064 4.0064 7.7744
angles: 90.00 90.00 90.00
Positions (direct):
Ho  0.0000  0.0000  0.0000
Nb  0.0000  0.5000  0.3565
Nb  0.5000  0.0000  0.3565
Si  0.0000  0.0000  0.6070
Si  0.5000  0.5000  0.1218
Sb  0.5000  0.5000  0.6618

# 7
Starting from a GGA-PBE-relaxed structure, the powder diffraction line list of CuAg3 was computed for copper Kα.
No peak broadening, texture or thermal motion is included.

Largest 10 diffraction maxima, in order of rising 2θ, 2θ = 15–90°:
d 2.704, intensity 5
d 2.645, intensity 4
d 2.328, intensity 100
d 2.033, intensity 34
d 1.984, intensity 14
d 1.438, intensity 10
d 1.420, intensity 17
d 1.223, intensity 23
d 1.202, intensity 8
d 1.164, intensity 9

Cell and atoms:
abc: 2.8758 2.8758 7.9348
angles: 90.00 90.00 90.00
Positions (direct):
Cu  0.0000  0.0000  0.0000
Ag  0.0000  0.0000  0.5000
Ag  0.5000  0.5000  0.2299
Ag  0.5000  0.5000  0.7701

# 8
Starting from a GGA-PBE-relaxed structure, the powder diffraction line list of Nd3In3AgPtAu was computed for copper Kα.
No peak broadening, texture or thermal motion is included.

Largest 10 diffraction maxima, in order of rising 2θ, 2θ = 15–90°:
d 2.829, intensity 94
d 2.613, intensity 100
d 2.577, intensity 46
d 2.273, intensity 44
d 2.177, intensity 33
d 2.034, intensity 27
d 1.597, intensity 21
d 1.516, intensity 24
d 1.460, intensity 32
d 1.201, intensity 15

Cell and atoms:
abc: 7.8743 7.8743 4.0683
angles: 90.00 90.00 120.00
Positions (direct):
Nd  0.0108  0.5908  0.0000
Nd  0.4092  0.4200  0.0000
Nd  0.5800  0.9892  0.0000
In  0.0023  0.2579  0.5000
In  0.2556  0.9977  0.5000
In  0.7421  0.7444  0.5000
Ag  0.0000  0.0000  0.0000
Pt  0.3333  0.6667  0.5000
Au  0.6667  0.3333  0.5000